Entry 1:
Theoretical X-ray powder pattern of Na4BiH for Cu Ka, from DFT lattice parameters and positions (GGA-PBE).
Lines closer than 0.1° are merged.

Principal peaks in the range 2θ from 5° to 70°, by intensity:
two_theta  I_rel  h k l
18.46  100  0 1 1
20.86  89  1 1 -1
15.43  86  1 0 0
32.90  61  1 1 -3
31.97  54  2 1 -1
34.16  53  1 2 0
20.20  43  1 0 -2
21.46  38  0 0 2
31.71  32  1 0 2
35.92  30  0 1 3
27.05  30  1 1 1
31.14  29  2 0 0

Cell and atoms:
```
data_Na4BiH
_cell_length_a 6.3926
_cell_length_b 5.9018
_cell_length_c 9.2151
_cell_angle_alpha 90.00
_cell_angle_beta 116.03
_cell_angle_gamma 90.00
_symmetry_space_group_name_H-M 'P 1 21/c 1'
_symmetry_Int_Tables_number 14
_symmetry_space_group_name_Hall '-P 2ybc'
loop_
_atom_site_label
_atom_site_type_symbol
_atom_site_fract_x
_atom_site_fract_y
_atom_site_fract_z
Na1 Na 0.0373 0.1883 0.1644
Na2 Na 0.3810 0.5227 0.1254
Bi1 Bi 0.5000 0.0000 0.0000
H1 H 0.0000 0.0000 0.5000
```

***

Entry 2:
Theoretical X-ray powder pattern of Li15CoN6 for Cu Ka, from DFT lattice parameters and positions (GGA-PBE).
Lines closer than 0.1° are merged.

Principal peaks in the range 2θ from 5° to 70°, by intensity:
two_theta  I_rel  h k l
15.47  100  1 1 0
35.03  25  3 1 0
21.94  24  2 0 0
44.75  18  4 0 0
47.62  13  3 3 0
58.05  13  5 1 0
65.14  9  4 4 0
50.37  7  4 2 0
41.72  7  3 2 1
67.40  5  4 3 3
53.02  4  3 3 2
38.49  3  2 2 2

Cell and atoms:
```
data_Li15CoN6
_cell_length_a 8.1012
_cell_length_b 8.1012
_cell_length_c 8.1012
_cell_angle_alpha 90.00
_cell_angle_beta 90.00
_cell_angle_gamma 90.00
_symmetry_space_group_name_H-M 'I m -3 m'
_symmetry_Int_Tables_number 229
_symmetry_space_group_name_Hall '-I 4 2 3'
loop_
_atom_site_label
_atom_site_type_symbol
_atom_site_fract_x
_atom_site_fract_y
_atom_site_fract_z
Li1 Li 0.0000 0.0000 0.5000
Li2 Li 0.0000 0.2317 0.2317
Co1 Co 0.0000 0.0000 0.0000
N1 N 0.0000 0.0000 0.2690
```

***

Entry 3:
Theoretical X-ray powder pattern of Na2InSn2Br7 for Cu Ka, from DFT lattice parameters and positions (GGA-PBE).
Lines closer than 0.1° are merged.

Principal peaks in the range 2θ from 5° to 70°, by intensity:
two_theta  I_rel  h k l
15.17  100  0 1 1
42.37  99  2 8 0
29.79  91  2 0 0
29.46  88  0 8 0
42.56  58  2 0 2
25.60  58  1 4 1
29.69  57  0 0 2
33.55  55  1 1 2
18.41  45  1 3 0
52.60  37  2 8 2
47.80  32  2 9 1
69.97  25  4 8 0

Cell and atoms:
```
data_Na2InSn2Br7
_cell_length_a 5.9982
_cell_length_b 24.2527
_cell_length_c 6.0203
_cell_angle_alpha 90.00
_cell_angle_beta 90.00
_cell_angle_gamma 90.00
_symmetry_space_group_name_H-M 'I m m 2'
_symmetry_Int_Tables_number 44
_symmetry_space_group_name_Hall 'I 2 -2'
loop_
_atom_site_label
_atom_site_type_symbol
_atom_site_fract_x
_atom_site_fract_y
_atom_site_fract_z
Na1 Na 0.0000 0.2484 0.0000
In1 In 0.0000 0.0000 0.2850
Sn1 Sn 0.0000 0.3773 0.5132
Br1 Br 0.0000 0.1189 0.0081
Br2 Br 0.0000 0.2555 0.4995
Br3 Br 0.0000 0.3717 0.9740
Br4 Br 0.0000 0.5000 0.5576
```

***

Entry 4:
Theoretical X-ray powder pattern of Tl3Zn2Hg4 for Cu Ka, from DFT lattice parameters and positions (GGA-PBE).
Lines closer than 0.1° are merged.

Principal peaks in the range 2θ from 5° to 70°, by intensity:
two_theta  I_rel  h k l
30.13  100  -1 1 1
31.41  64  0 1 3
29.84  40  1 2 0
42.83  39  2 1 0
41.55  37  0 3 1
38.19  36  0 2 -2
29.71  35  1 -1 0
31.18  34  1 0 2
31.55  29  1 1 -2
39.86  18  1 1 -3
31.04  16  0 0 3
39.42  16  1 0 3

Cell and atoms:
```
data_Tl3Zn2Hg4
_cell_length_a 4.2232
_cell_length_b 6.8568
_cell_length_c 8.8202
_cell_angle_alpha 78.89
_cell_angle_beta 89.38
_cell_angle_gamma 72.18
_symmetry_space_group_name_H-M 'P -1'
_symmetry_Int_Tables_number 2
_symmetry_space_group_name_Hall '-P 1'
loop_
_atom_site_label
_atom_site_type_symbol
_atom_site_fract_x
_atom_site_fract_y
_atom_site_fract_z
Tl1 Tl 0.0000 0.0000 0.0000
Tl2 Tl 0.3911 0.2331 0.2831
Zn1 Zn 0.2775 0.4397 0.5881
Hg1 Hg 0.0793 0.8530 0.3745
Hg2 Hg 0.3035 0.3889 0.9056
```